No. 1
Calculated powder XRD pattern of Nd2InH for copper Kα, from a structure optimized by DFT (PBE).
Intensities are scaled so that the largest is 100.

Principal peaks in the range 10 to 90 degrees two-theta, by intensity:
2θ (°)  intensity  index
31.4  100  1 1 1
35.8  71  1 1 2
29.1  46  0 0 3
50.0  27  1 1 4
69.8  21  2 2 3
53.9  21  3 0 1
56.8  18  0 3 2
58.9  16  1 1 5
61.9  16  2 2 0
29.8  14  1 1 0
42.2  11  1 1 3
86.5  11  1 4 1

Cell: 5.9971 5.9971 9.1946 Å, 90.00 90.00 120.00°
Space group P3_121 (No. 152)
Asymmetric unit:
Nd 0.1730 0.3489 0.3340
In 0.0000 0.4998 0.6667
H 0.0000 0.5000 0.1667



No. 2
Calculated powder XRD pattern of Nd2InHPd6 for copper Kα, from a structure optimized by DFT (PBE).
Intensities are scaled so that the largest is 100.

Principal peaks in the range 10 to 90 degrees two-theta, by intensity:
2θ (°)  intensity  index
40.6  100  4 0 0
37.0  95  2 2 0
37.5  37  1 1 2
34.0  35  3 1 -2
64.3  33  0 4 0
28.0  29  0 0 2
25.7  18  1 1 1
56.0  16  2 0 3
59.3  12  1 3 2
52.9  11  2 2 2
76.5  11  8 0 -2
43.1  11  2 2 1

Cell: 10.050 5.793 7.209 Å, 90.00 117.86 90.00°
Space group C2/m (No. 12)
Asymmetric unit:
Nd 0.232 0.000 0.200
In 0.000 0.500 0.000
H 0.000 0.000 0.500
Pd 0.021 0.247 0.320
Pd 0.225 0.000 0.674



No. 3
Calculated powder XRD pattern of Nd4TlInH for copper Kα, from a structure optimized by DFT (PBE).
Intensities are scaled so that the largest is 100.

Principal peaks in the range 10 to 90 degrees two-theta, by intensity:
2θ (°)  intensity  index
33.7  100  2 4 0
28.5  98  2 2 0
38.0  69  2 0 2
49.6  37  2 6 2
31.8  36  1 5 1
30.7  35  0 6 0
65.9  29  4 4 2
26.6  22  2 0 0
62.9  21  4 2 2
50.4  20  3 5 1
74.7  17  3 11 1
64.1  17  4 6 0

Cell: 6.695 17.478 6.707 Å, 90.00 90.00 90.00°
Space group Cmcm (No. 63)
Asymmetric unit:
Nd 0.000 0.070 0.250
Nd 0.000 0.429 0.250
Nd 0.250 0.250 0.000
Tl 0.000 0.113 0.750
In 0.000 0.386 0.750
H 0.000 0.292 0.250



No. 4
Calculated powder XRD pattern of InNi4H for copper Kα, from a structure optimized by DFT (PBE).
Intensities are scaled so that the largest is 100.

Principal peaks in the range 10 to 90 degrees two-theta, by intensity:
2θ (°)  intensity  index
39.6  100  1 1 1
40.2  56  1 0 2
52.4  37  2 0 0
53.8  24  1 0 3
68.0  22  2 1 2
29.8  15  1 0 1
78.4  15  2 1 3
30.6  13  0 0 2
77.2  11  2 2 0
36.4  11  1 1 0
86.9  9  2 0 4
48.2  9  1 1 2

Cell: 3.494 3.494 5.850 Å, 90.00 90.00 90.00°
Space group P4/mmm (No. 123)
Asymmetric unit:
In 0.000 0.000 0.000
Ni 0.000 0.500 0.500
Ni 0.500 0.500 0.198
H 0.500 0.500 0.500



No. 5
Calculated powder XRD pattern of InNi6H3 for copper Kα, from a structure optimized by DFT (PBE).
Intensities are scaled so that the largest is 100.

Principal peaks in the range 10 to 90 degrees two-theta, by intensity:
2θ (°)  intensity  index
43.8  100  1 -1 2
42.2  54  0 2 -1
44.2  52  1 1 1
44.5  41  2 0 -1
46.7  37  2 -2 0
29.4  23  -1 1 1
45.5  16  1 1 -2
40.0  16  2 -1 0
64.6  15  -1 3 1
22.9  14  1 -1 0
38.2  13  1 -2 0
44.0  13  2 0 0

Cell: 4.548 4.795 5.008 Å, 97.69 96.91 112.95°
Space group P1 (No. 1)
Asymmetric unit:
In 0.000 0.000 0.000
Ni 0.186 0.608 0.225
Ni 0.401 0.283 0.454
Ni 0.426 0.858 0.703
Ni 0.568 0.448 0.992
Ni 0.846 0.805 0.460
Ni 0.972 0.373 0.664
H 0.308 0.616 0.921
H 0.602 0.229 0.726
H 0.775 0.439 0.317



No. 6
Calculated powder XRD pattern of NpInNi4H6 for copper Kα, from a structure optimized by DFT (PBE).
Intensities are scaled so that the largest is 100.

Principal peaks in the range 10 to 90 degrees two-theta, by intensity:
2θ (°)  intensity  index
36.0  100  1 0 2
41.5  62  1 1 0
23.6  33  1 0 0
56.1  27  2 0 2
27.2  26  1 0 1
72.2  26  2 1 2
59.5  14  1 1 3
75.8  13  3 0 0
60.8  13  1 0 4
71.3  9  1 1 4
40.6  7  0 0 3
76.4  7  2 0 4

Cell: 4.3479 4.3479 6.6607 Å, 90.00 90.00 120.00°
Space group P6/mmm (No. 191)
Asymmetric unit:
Np 0.0000 0.0000 0.0000
In 0.0000 0.0000 0.5000
Ni 0.3333 0.6667 0.3098
H 0.0000 0.5000 0.1528



No. 7
Calculated powder XRD pattern of InHO for copper Kα, from a structure optimized by DFT (PBE).
Intensities are scaled so that the largest is 100.

Principal peaks in the range 10 to 90 degrees two-theta, by intensity:
2θ (°)  intensity  index
23.4  100  0 0 1
28.1  73  2 0 0
36.9  68  2 0 1
47.0  59  2 1 1
40.1  49  2 1 0
63.5  23  4 0 1
64.3  22  2 1 2
70.8  21  4 1 1
56.5  21  2 0 2
58.1  15  4 0 0
48.0  14  0 0 2
85.4  13  4 1 2

Cell: 6.352 3.177 3.794 Å, 90.00 90.00 90.00°
Space group Pmma (No. 51)
Asymmetric unit:
In 0.250 0.000 0.002
H 0.250 0.000 0.501
O 0.000 0.500 0.000



No. 8
Calculated powder XRD pattern of InHO2 for copper Kα, from a structure optimized by DFT (PBE).
Intensities are scaled so that the largest is 100.

Principal peaks in the range 10 to 90 degrees two-theta, by intensity:
2θ (°)  intensity  index
28.6  100  1 1 1
33.1  61  2 0 0
56.4  60  3 1 1
47.6  45  2 2 0
79.2  19  4 2 0
76.8  16  3 3 1
59.2  15  2 2 2
88.6  14  4 2 2
37.2  5  2 1 0
69.5  4  4 0 0
40.9  3  2 1 1
64.5  2  3 1 2

Cell: 5.409 5.409 5.409 Å, 90.00 90.00 90.00°
Space group P2_13 (No. 198)
Asymmetric unit:
In 0.010 0.010 0.010
H 0.022 0.522 0.978
O 0.133 0.867 0.367
O 0.135 0.635 0.865



No. 9
Calculated powder XRD pattern of InHO3 for copper Kα, from a structure optimized by DFT (PBE).
Intensities are scaled so that the largest is 100.

Principal peaks in the range 10 to 90 degrees two-theta, by intensity:
2θ (°)  intensity  index
24.4  100  0 1 2
30.5  81  1 0 4
50.6  44  1 1 6
46.2  25  2 0 2
38.7  24  1 1 0
48.2  21  0 1 8
61.8  19  1 2 2
50.0  14  0 2 4
64.9  14  2 1 4
78.7  11  1 1 12
70.0  9  3 0 0
58.7  9  1 0 10

Cell: 4.6586 4.6586 17.0843 Å, 90.00 90.00 120.00°
Space group R-3c (No. 167, hexagonal axes)
Asymmetric unit:
In 0.0000 0.0000 0.0000
H 0.0000 0.0000 0.2500
O 0.0000 0.2915 0.2500